[1]
This entry pairs a crystal structure of Ca3Ir2C with its computed X-ray diffraction stick pattern. Radiation: λ = 1.5418 Å (Cu Kα). Structure: a structure optimized by DFT (GGA-PBE).

Crystal structure
Cell lengths 9.0727, 8.3247, 7.1189 Å; angles 90.00, 103.63, 90.00 degrees
Space group C2/c (No. 15)
Symmetry-distinct sites (fractional):
Ca 0.0000 0.1107 0.2500 [4 per cell]
Ca 0.1727 0.4312 0.9803 [8 per cell]
Ir 0.1653 0.2289 0.6295 [8 per cell]
C 0.0000 0.2141 0.7500 [4 per cell]

The 8 most intense peaks (10° ≤ 2θ ≤ 90°), most intense first:
2θ (°), d_spacing, Rel. int.
21.01, 4.229, 100
37.22, 2.416, 48
21.35, 4.162, 47
39.50, 2.281, 36
36.13, 2.486, 35
32.01, 2.796, 33
36.60, 2.455, 20
37.55, 2.395, 19

***

[2]
This entry pairs a crystal structure of Sc3Cd3Hg2 with its computed X-ray diffraction stick pattern. Radiation: λ = 1.5418 Å (Cu Kα). Structure: a structure optimized by DFT (GGA-PBE).

Crystal structure
Cell lengths 7.6204, 7.6204, 3.5803 Å; angles 90.00, 90.00, 120.00 degrees
Space group P-62m (No. 189)
Symmetry-distinct sites (fractional):
Sc 0.0000 0.5961 0.0000 [3 per cell]
Cd 0.0000 0.2278 0.5000 [3 per cell]
Hg 0.3333 0.6667 0.5000 [2 per cell]

The 8 most intense peaks (10° ≤ 2θ ≤ 90°), most intense first:
2θ (°), d_spacing, Rel. int.
34.37, 2.609, 100
36.01, 2.494, 85
44.26, 2.047, 63
24.87, 3.580, 61
37.05, 2.426, 52
23.35, 3.810, 45
70.48, 1.336, 41
41.03, 2.200, 32

***

[3]
This entry pairs a crystal structure of TbLuInPt with its computed X-ray diffraction stick pattern. Radiation: λ = 1.5418 Å (Cu Kα). Structure: a structure optimized by DFT (GGA-PBE).

Crystal structure
Cell lengths 7.1988, 7.1988, 7.1988 Å; angles 90.00, 90.00, 90.00 degrees
Space group F-43m (No. 216)
Symmetry-distinct sites (fractional):
Tb 0.0000 0.0000 0.0000 [4 per cell]
Lu 0.0000 0.0000 0.5000 [4 per cell]
In 0.2500 0.2500 0.7500 [4 per cell]
Pt 0.2500 0.2500 0.2500 [4 per cell]

The 8 most intense peaks (10° ≤ 2θ ≤ 90°), most intense first:
2θ (°), d_spacing, Rel. int.
35.26, 2.545, 100
63.29, 1.469, 37
50.73, 1.800, 18
85.27, 1.138, 16
74.57, 1.273, 11
21.38, 4.156, 3
41.61, 2.171, 2
55.65, 1.652, 1

***

[4]
This entry pairs a crystal structure of BaInHg6 with its computed X-ray diffraction stick pattern. Radiation: λ = 1.5418 Å (Cu Kα). Structure: a structure optimized by DFT (GGA-PBE).

Crystal structure
Cell lengths 5.2315, 7.2456, 6.0991 Å; angles 90.00, 90.00, 90.00 degrees
Space group Pmm2 (No. 25)
Symmetry-distinct sites (fractional):
Ba 0.0000 0.0000 0.0000 [1 per cell]
In 0.5000 0.5000 0.2908 [1 per cell]
Hg 0.0000 0.2738 0.4892 [2 per cell]
Hg 0.0000 0.5000 0.9818 [1 per cell]
Hg 0.5000 0.0000 0.3821 [1 per cell]
Hg 0.5000 0.2745 0.7989 [2 per cell]

The 8 most intense peaks (10° ≤ 2θ ≤ 90°), most intense first:
2θ (°), d_spacing, Rel. int.
33.48, 2.676, 100
34.03, 2.635, 48
34.28, 2.616, 34
28.66, 3.115, 25
60.88, 1.522, 18
51.54, 1.773, 17
63.38, 1.468, 17
62.20, 1.492, 15

***

[5]
This entry pairs a crystal structure of K3LiBi2O6 with its computed X-ray diffraction stick pattern. Radiation: λ = 1.5418 Å (Cu Kα). Structure: a structure optimized by DFT (GGA-PBE).

Crystal structure
Cell lengths 6.0468, 10.5149, 6.4889 Å; angles 90.00, 107.86, 90.00 degrees
Space group C2/m (No. 12)
Symmetry-distinct sites (fractional):
K 0.0000 0.0000 0.0000 [2 per cell]
K 0.0000 0.3427 0.0000 [4 per cell]
Li 0.0000 0.5000 0.5000 [2 per cell]
Bi 0.0000 0.1672 0.5000 [4 per cell]
O 0.2116 0.0000 0.6883 [4 per cell]
O 0.2420 0.3223 0.6949 [8 per cell]

The 8 most intense peaks (10° ≤ 2θ ≤ 90°), most intense first:
2θ (°), d_spacing, Rel. int.
14.34, 6.176, 100
31.06, 2.879, 91
35.34, 2.539, 87
35.53, 2.527, 50
17.57, 5.049, 49
49.54, 1.840, 44
19.49, 4.555, 42
28.91, 3.088, 40

***

[6]
This entry pairs a crystal structure of ZrSc2Mn2 with its computed X-ray diffraction stick pattern. Radiation: λ = 1.5418 Å (Cu Kα). Structure: a structure optimized by DFT (GGA-PBE).

Crystal structure
Cell lengths 6.9518, 6.9518, 3.9368 Å; angles 90.00, 90.00, 90.00 degrees
Space group P4/mbm (No. 127)
Symmetry-distinct sites (fractional):
Zr 0.0000 0.0000 0.0000 [2 per cell]
Sc 0.1660 0.3340 0.5000 [4 per cell]
Mn 0.1280 0.6280 0.0000 [4 per cell]

The 8 most intense peaks (10° ≤ 2θ ≤ 90°), most intense first:
2θ (°), d_spacing, Rel. int.
36.84, 2.440, 100
41.06, 2.198, 64
34.42, 2.606, 49
63.43, 1.466, 32
22.59, 3.937, 28
46.11, 1.968, 25
47.36, 1.919, 25
29.06, 3.073, 17

***

[7]
This entry pairs a crystal structure of CaTl2In6 with its computed X-ray diffraction stick pattern. Radiation: λ = 1.5418 Å (Cu Kα). Structure: a structure optimized by DFT (GGA-PBE).

Crystal structure
Cell lengths 7.6158, 15.4640, 4.4623 Å; angles 90.00, 104.51, 90.00 degrees
Space group C2/m (No. 12)
Symmetry-distinct sites (fractional):
Ca 0.0000 0.0000 0.0000 [2 per cell]
Tl 0.0000 0.1686 0.5000 [4 per cell]
In 0.1573 0.5000 0.3343 [4 per cell]
In 0.1614 0.3440 0.8415 [8 per cell]

The 8 most intense peaks (10° ≤ 2θ ≤ 90°), most intense first:
2θ (°), d_spacing, Rel. int.
31.68, 2.825, 100
29.96, 2.982, 39
34.81, 2.577, 37
36.22, 2.480, 34
37.04, 2.427, 27
40.91, 2.206, 20
27.60, 3.232, 19
40.68, 2.218, 16

***

[8]
This entry pairs a crystal structure of AgBiSb with its computed X-ray diffraction stick pattern. Radiation: λ = 1.5418 Å (Cu Kα). Structure: a structure optimized by DFT (GGA-PBE).

Crystal structure
Cell lengths 6.4202, 6.4202, 9.0753 Å; angles 90.00, 90.00, 90.00 degrees
Space group P4_12_12 (No. 92)
Symmetry-distinct sites (fractional):
Ag 0.0683 0.0683 0.0000 [4 per cell]
Bi 0.2444 0.7556 0.7500 [4 per cell]
Sb 0.1390 0.8610 0.2500 [4 per cell]

The 8 most intense peaks (10° ≤ 2θ ≤ 90°), most intense first:
2θ (°), d_spacing, Rel. int.
27.80, 3.209, 100
32.71, 2.737, 49
43.45, 2.083, 43
39.72, 2.269, 32
19.55, 4.540, 25
60.32, 1.534, 23
64.97, 1.435, 22
52.37, 1.747, 18